For Nd3AgS5, a GGA-PBE-relaxed structure gives the calculated PXRD pattern in this record (λ = 1.5418 Å (Cu Kα)).
No peak broadening, texture or thermal motion is included.

Principal peaks in the range 10 to 80 degrees two-theta, by angle:
| d [Å] | Position (°2θ) | I (rel.) |
| --- | --- | --- |
| 3.443 | 25.9 | 48.9 |
| 3.357 | 26.6 | 89.5 |
| 3.337 | 26.7 | 44.3 |
| 2.752 | 32.5 | 100.0 |
| 2.719 | 32.9 | 36.3 |
| 2.565 | 35.0 | 28.1 |
| 2.432 | 37.0 | 29.8 |
| 2.150 | 42.0 | 32.9 |
| 1.851 | 49.2 | 33.3 |
| 1.720 | 53.2 | 34.0 |

Crystal structure
Cell lengths 8.7739, 8.7739, 8.7739 Å; angles 128.02, 128.02, 76.60 degrees
Atoms (fractional coordinates):
Nd 0.1554 0.6554 0.8109
Nd 0.2500 0.2500 0.0000
Nd 0.3446 0.1554 0.5000
Nd 0.6554 0.8446 0.5000
Nd 0.7500 0.7500 0.0000
Nd 0.8446 0.3446 0.1891
Ag 0.2500 0.7500 0.5000
Ag 0.7500 0.2500 0.5000
S 0.0000 0.0000 0.0000
S 0.0344 0.1855 0.5000
S 0.1855 0.6855 0.1512
S 0.3145 0.4656 0.5000
S 0.4656 0.9656 0.1512
S 0.5000 0.5000 0.0000
S 0.5344 0.0344 0.8488
S 0.6855 0.5344 0.5000
S 0.8145 0.3145 0.8488
S 0.9656 0.8145 0.5000